For Nd3PtO7, a PBE-relaxed structure gives the computed PXRD pattern in this record (copper Kα).

Cell and atoms:
Unit cell a=6.6615 b=6.6615 c=7.6005 alpha=90.00 beta=90.00 gamma=69.14
Sites, in units of the cell vectors:
Nd1 0.0000 0.0000 0.0000
Nd2 0.0000 0.0000 0.5000
Nd3 0.0783 0.4764 0.7500
Nd4 0.4764 0.0783 0.2500
Nd5 0.5236 0.9217 0.7500
Nd6 0.9217 0.5236 0.2500
Pt1 0.5000 0.5000 0.0000
Pt2 0.5000 0.5000 0.5000
O1 0.1089 0.1561 0.2500
O2 0.1561 0.1089 0.7500
O3 0.1838 0.5629 0.0379
O4 0.1838 0.5629 0.4621
O5 0.4035 0.5965 0.7500
O6 0.4371 0.8162 0.0379
O7 0.4371 0.8162 0.4621
O8 0.5629 0.1838 0.5379
O9 0.5629 0.1838 0.9621
O10 0.5965 0.4035 0.2500
O11 0.8162 0.4371 0.5379
O12 0.8162 0.4371 0.9621
O13 0.8439 0.8911 0.2500
O14 0.8911 0.8439 0.7500

Top 10 peaks for 15° ≤ 2θ ≤ 90°, in order of falling intensity:
Position (°2θ)  d (Å)  intensity
28.57  3.124  100.0
28.68  3.112  87.9
47.43  1.917  47.4
33.44  2.680  44.5
56.77  1.622  29.1
32.65  2.743  22.7
55.83  1.647  19.2
47.87  1.900  17.2
56.95  1.617  16.3
26.33  3.384  9.9